1.
Diffraction record for Li2AlNiO4. The X-ray powder pattern is theoretical, not measured: it uses DFT lattice parameters and positions (PBE+U) and Cu Kα X-rays.

Atomic structure:
Lattice parameters (Å, degrees): 6.1484 5.5231 4.9696 90.00 90.00 90.00
Sites, in units of the cell vectors:
Li1 0.2505 0.1650 0.0000
Li2 0.2495 0.8350 0.5000
Li3 0.7495 0.1650 0.0000
Li4 0.7505 0.8350 0.5000
Al1 0.0000 0.3380 0.5050
Al2 0.5000 0.6620 0.0050
Ni1 0.0000 0.6662 0.0032
Ni2 0.5000 0.3338 0.5032
O1 0.0000 0.3530 0.8644
O2 0.0000 0.6399 0.3785
O3 0.2403 0.1809 0.4018
O4 0.2597 0.8191 0.9018
O5 0.5000 0.3601 0.8785
O6 0.5000 0.6470 0.3644
O7 0.7403 0.8191 0.9018
O8 0.7597 0.1809 0.4018

Most intense lines, 10 to 90 degrees two-theta, low angle first:
16.0°, I = 53
24.1°, I = 100
29.0°, I = 35
32.4°, I = 24
33.4°, I = 53
36.1°, I = 45
38.1°, I = 34
47.9°, I = 24
58.4°, I = 31
66.3°, I = 24

2.
Diffraction record for Li4Mn3SnO8. The X-ray powder pattern is theoretical, not measured: it uses DFT lattice parameters and positions (PBE+U) and Cu Kα X-rays.

Atomic structure:
Lattice parameters (Å, degrees): 6.0596 6.0596 6.1787 119.74 119.74 61.91
Sites, in units of the cell vectors:
Li1 0.0000 0.0000 0.0000
Li2 0.0000 0.5000 0.5000
Li3 0.5000 0.0000 0.5000
Li4 0.5000 0.5000 0.0000
Mn1 0.0000 0.0000 0.5000
Mn2 0.0000 0.5000 0.0000
Mn3 0.5000 0.0000 0.0000
Sn1 0.5000 0.5000 0.5000
O1 0.2445 0.7263 0.2440
O2 0.2535 0.2535 0.8037
O3 0.2560 0.2560 0.2791
O4 0.2737 0.7555 0.7560
O5 0.7263 0.2445 0.2440
O6 0.7440 0.7440 0.7209
O7 0.7465 0.7465 0.1963
O8 0.7555 0.2737 0.7560

Most intense lines, 10 to 90 degrees two-theta, low angle first:
17.6°, I = 15
17.9°, I = 100
33.8°, I = 40
34.6°, I = 16
35.8°, I = 14
41.1°, I = 53
42.7°, I = 24
46.0°, I = 12
60.3°, I = 15
61.2°, I = 14

3.
Diffraction record for Ho2MgV4O12. The X-ray powder pattern is theoretical, not measured: it uses DFT lattice parameters and positions (PBE+U) and Cu Kα X-rays.

Atomic structure:
Lattice parameters (Å, degrees): 5.1751 5.4985 7.5419 89.98 89.64 88.51
Sites, in units of the cell vectors:
Ho1 0.0000 0.0000 0.0000
Ho2 0.4871 0.6555 0.5053
Mg1 0.0086 0.1425 0.5244
V1 0.5047 0.0969 0.7591
V2 0.5071 0.0982 0.2553
V3 0.9934 0.5604 0.2430
V4 0.9932 0.5659 0.7593
O1 0.1024 0.6064 0.0005
O2 0.2046 0.8919 0.6925
O3 0.2223 0.9010 0.3067
O4 0.3022 0.3829 0.6870
O5 0.3067 0.3910 0.3108
O6 0.4160 0.1022 0.9953
O7 0.6216 0.0532 0.5070
O8 0.7200 0.7805 0.7892
O9 0.7301 0.7867 0.2147
O10 0.8154 0.2612 0.2019
O11 0.8307 0.2582 0.7977
O12 0.8926 0.5181 0.5005

Most intense lines, 10 to 90 degrees two-theta, low angle first:
20.0°, I = 100
20.8°, I = 64
20.9°, I = 62
32.6°, I = 29
33.3°, I = 42
33.5°, I = 44
33.8°, I = 39
33.9°, I = 36
34.7°, I = 60
48.3°, I = 29

4.
Diffraction record for LiMnF4. The X-ray powder pattern is theoretical, not measured: it uses DFT lattice parameters and positions (PBE+U) and Cu Kα X-rays.

Atomic structure:
Lattice parameters (Å, degrees): 7.6454 10.0642 7.6103 90.00 90.00 90.00
Sites, in units of the cell vectors:
Li1 0.0000 0.2059 0.0000
Li2 0.0000 0.2304 0.5142
Li3 0.0000 0.7114 0.7143
Li4 0.0000 0.7285 0.2762
Li5 0.5000 0.2715 0.7762
Li6 0.5000 0.2886 0.2143
Li7 0.5000 0.7696 0.0142
Li8 0.5000 0.7941 0.5000
Mn1 0.2467 0.4942 0.0272
Mn2 0.2483 0.9938 0.7792
Mn3 0.2517 0.0062 0.2792
Mn4 0.2533 0.5058 0.5272
Mn5 0.7467 0.5058 0.5272
Mn6 0.7483 0.0062 0.2792
Mn7 0.7517 0.9938 0.7792
Mn8 0.7533 0.4942 0.0272
F1 0.0000 0.4026 0.0489
F2 0.0000 0.4268 0.4934
F3 0.0000 0.9070 0.7430
F4 0.0000 0.9247 0.3105
F5 0.1619 0.1591 0.7319
F6 0.1642 0.6570 0.0836
F7 0.1675 0.6754 0.4864
F8 0.1721 0.1738 0.3264
F9 0.1860 0.0373 0.0280
F10 0.1882 0.5377 0.7772
F11 0.3118 0.4623 0.2772
F12 0.3140 0.9627 0.5280
F13 0.3279 0.8262 0.8264
F14 0.3325 0.3246 0.9864
F15 0.3358 0.3430 0.5836
F16 0.3381 0.8409 0.2319
F17 0.5000 0.0753 0.8105
F18 0.5000 0.0930 0.2430
F19 0.5000 0.5732 0.9934
F20 0.5000 0.5974 0.5489
F21 0.6619 0.8409 0.2319
F22 0.6642 0.3430 0.5836
F23 0.6675 0.3246 0.9864
F24 0.6721 0.8262 0.8264
F25 0.6860 0.9627 0.5280
F26 0.6882 0.4623 0.2772
F27 0.8118 0.5377 0.7772
F28 0.8140 0.0373 0.0280
F29 0.8279 0.1738 0.3264
F30 0.8325 0.6754 0.4864
F31 0.8358 0.6570 0.0836
F32 0.8381 0.1591 0.7319

Most intense lines, 10 to 90 degrees two-theta, low angle first:
17.6°, I = 88
23.3°, I = 55
25.0°, I = 100
29.3°, I = 40
34.4°, I = 23
39.6°, I = 19
43.0°, I = 24
47.8°, I = 18
57.1°, I = 35
60.9°, I = 21

5.
Diffraction record for LiMn2PO6. The X-ray powder pattern is theoretical, not measured: it uses DFT lattice parameters and positions (PBE+U) and Cu Kα X-rays.

Atomic structure:
Lattice parameters (Å, degrees): 11.8412 5.1825 7.7777 90.00 90.00 90.00
Sites, in units of the cell vectors:
Li1 0.0605 0.2500 0.0160
Li2 0.4395 0.7500 0.5160
Li3 0.5605 0.2500 0.4840
Li4 0.9395 0.7500 0.9840
Mn1 0.0752 0.7500 0.2898
Mn2 0.0900 0.7500 0.6875
Mn3 0.4100 0.2500 0.1875
Mn4 0.4248 0.2500 0.7898
Mn5 0.5752 0.7500 0.2102
Mn6 0.5900 0.7500 0.8125
Mn7 0.9100 0.2500 0.3125
Mn8 0.9248 0.2500 0.7102
P1 0.2047 0.2500 0.4704
P2 0.2953 0.7500 0.9704
P3 0.7047 0.2500 0.0296
P4 0.7953 0.7500 0.5296
O1 0.0152 0.0006 0.8203
O2 0.0152 0.4994 0.8203
O3 0.1241 0.0037 0.4863
O4 0.1241 0.4963 0.4863
O5 0.2101 0.7500 0.1150
O6 0.2500 0.2500 0.2876
O7 0.2500 0.7500 0.7876
O8 0.2899 0.2500 0.6150
O9 0.3759 0.5037 0.9863
O10 0.3759 0.9963 0.9863
O11 0.4848 0.5006 0.3203
O12 0.4848 0.9994 0.3203
O13 0.5152 0.0006 0.6797
O14 0.5152 0.4994 0.6797
O15 0.6241 0.0037 0.0137
O16 0.6241 0.4963 0.0137
O17 0.7101 0.7500 0.3850
O18 0.7500 0.2500 0.2124
O19 0.7500 0.7500 0.7124
O20 0.7899 0.2500 0.8850
O21 0.8759 0.5037 0.5137
O22 0.8759 0.9963 0.5137
O23 0.9848 0.5006 0.1797
O24 0.9848 0.9994 0.1797

Most intense lines, 10 to 90 degrees two-theta, low angle first:
13.6°, I = 68
22.8°, I = 100
25.3°, I = 28
27.4°, I = 41
30.7°, I = 57
32.5°, I = 83
34.6°, I = 26
34.9°, I = 42
45.4°, I = 25
50.4°, I = 37

6.
Diffraction record for Lu2Mn2O7. The X-ray powder pattern is theoretical, not measured: it uses DFT lattice parameters and positions (PBE+U) and Cu Kα X-rays.

Atomic structure:
Lattice parameters (Å, degrees): 7.0001 7.0001 7.0001 60.00 60.00 60.00
Sites, in units of the cell vectors:
Lu1 0.0000 0.0000 0.0000
Lu2 0.0000 0.0000 0.5000
Lu3 0.0000 0.5000 0.0000
Lu4 0.5000 0.0000 0.0000
Mn1 0.0000 0.5000 0.5000
Mn2 0.5000 0.0000 0.5000
Mn3 0.5000 0.5000 0.0000
Mn4 0.5000 0.5000 0.5000
O1 0.1250 0.1250 0.1250
O2 0.1666 0.1666 0.5834
O3 0.1666 0.5834 0.1666
O4 0.1666 0.5834 0.5834
O5 0.4166 0.4166 0.8334
O6 0.4166 0.8334 0.4166
O7 0.4166 0.8334 0.8334
O8 0.5834 0.1666 0.1666
O9 0.5834 0.1666 0.5834
O10 0.5834 0.5834 0.1666
O11 0.8334 0.4166 0.4166
O12 0.8334 0.4166 0.8334
O13 0.8334 0.8334 0.4166
O14 0.8750 0.8750 0.8750

Most intense lines, 10 to 90 degrees two-theta, low angle first:
15.5°, I = 29
29.9°, I = 16
31.3°, I = 100
36.3°, I = 31
39.7°, I = 18
52.3°, I = 47
62.2°, I = 41
65.3°, I = 9
85.5°, I = 17
88.3°, I = 14

7.
Diffraction record for Sr2CoClO3. The X-ray powder pattern is theoretical, not measured: it uses DFT lattice parameters and positions (PBE+U) and Cu Kα X-rays.

Atomic structure:
Lattice parameters (Å, degrees): 3.8795 3.8795 14.9602 90.00 90.00 90.00
Sites, in units of the cell vectors:
Sr1 0.2500 0.2500 0.0922
Sr2 0.2500 0.2500 0.3382
Sr3 0.7500 0.7500 0.6618
Sr4 0.7500 0.7500 0.9078
Co1 0.2500 0.2500 0.7927
Co2 0.7500 0.7500 0.2073
Cl1 0.2500 0.2500 0.5794
Cl2 0.7500 0.7500 0.4206
O1 0.2500 0.2500 0.9265
O2 0.2500 0.7500 0.2267
O3 0.2500 0.7500 0.7733
O4 0.7500 0.2500 0.2267
O5 0.7500 0.2500 0.7733
O6 0.7500 0.7500 0.0735

Most intense lines, 10 to 90 degrees two-theta, low angle first:
11.8°, I = 26
23.7°, I = 15
29.2°, I = 24
32.6°, I = 81
33.3°, I = 100
38.0°, I = 19
40.8°, I = 22
46.8°, I = 44
54.4°, I = 20
58.7°, I = 37